# NdPuIrI
Calculated powder X-ray diffraction pattern, Cu Kα (λ = 1.5418 Å). Input: DFT lattice parameters and positions (GGA-PBE).
Neutral-atom scattering factors, no anomalous dispersion.

Principal peaks in the range 5° ≤ 2θ ≤ 70°, low angle first:
2θ (°)	I/Imax
10.89	48
26.00	32
28.99	15
31.05	100
36.03	18
38.86	14
43.92	47
45.04	22
54.76	21
55.35	12

Structure:
```
data_NdPuIrI
_chemical_formula_sum 'Nd3 Pu3 Ir3 I3'
_space_group_name_H-M_alt 'R 3 m'
_space_group_IT_number 160
_space_group_name_Hall 'R 3 -2"'
_cell_length_a 4.1230
_cell_length_b 4.1230
_cell_length_c 24.3696
_cell_angle_alpha 90.00
_cell_angle_beta 90.00
_cell_angle_gamma 120.00
loop_
_atom_site_label
_atom_site_type_symbol
_atom_site_fract_x
_atom_site_fract_y
_atom_site_fract_z
Nd1 Nd 0.0000 0.0000 0.0000
Pu1 Pu 0.0000 0.0000 0.2093
Ir1 Ir 0.0000 0.0000 0.5997
I1 I 0.0000 0.0000 0.7704
```